# 1
The following is a computed powder diffraction line list of SrLaSb2O8. It was derived from a cell relaxed with GGA-PBE, using CuKα.
Peak positions follow from Bragg's law for the DFT cell and can differ from measured ones.

Cell and atoms:
```
data_SrLaSb2O8
_chemical_formula_sum 'Sr1 La1 Sb2 O8'
_space_group_name_H-M_alt 'P 1'
_space_group_IT_number 1
_cell_length_a 7.047
_cell_length_b 7.047
_cell_length_c 7.047
_cell_angle_alpha 133.86
_cell_angle_beta 133.86
_cell_angle_gamma 67.30
loop_
_space_group_symop_operation_xyz
'x,y,z'
loop_
_atom_site_label
_atom_site_type_symbol
_atom_site_fract_x
_atom_site_fract_y
_atom_site_fract_z
Sr1 Sr 0.000 0.000 0.000
La1 La 0.250 0.750 0.500
Sb1 Sb 0.500 0.500 0.000
Sb2 Sb 0.750 0.250 0.500
O1 O 0.012 0.098 0.439
O2 O 0.246 0.651 0.076
O3 O 0.349 0.425 0.594
O4 O 0.427 0.988 0.085
O5 O 0.575 0.170 0.924
O6 O 0.659 0.573 0.561
O7 O 0.830 0.754 0.406
O8 O 0.902 0.341 0.915
```

The 10 most intense peaks (2θ from 15° to 90°), in order of falling intensity:
two_theta  I_rel
27.44  100
45.10  32
54.85  28
32.43  19
52.33  16
46.51  15
30.48  13
72.58  13
56.63  11
85.28  8

---

# 2
The following is a computed powder diffraction line list of La4TlSbO. It was derived from a cell relaxed with GGA-PBE, using CuKα.
Peak positions follow from Bragg's law for the DFT cell and can differ from measured ones.

Cell and atoms:
```
data_La4TlSbO
_chemical_formula_sum 'La8 Tl2 Sb2 O2'
_space_group_name_H-M_alt 'P 1'
_space_group_IT_number 1
_cell_length_a 9.325
_cell_length_b 9.325
_cell_length_c 6.912
_cell_angle_alpha 90.00
_cell_angle_beta 90.00
_cell_angle_gamma 136.42
loop_
_space_group_symop_operation_xyz
'x,y,z'
loop_
_atom_site_label
_atom_site_type_symbol
_atom_site_fract_x
_atom_site_fract_y
_atom_site_fract_z
La1 La 0.000 0.500 0.000
La2 La 0.000 0.500 0.500
La3 La 0.077 0.923 0.750
La4 La 0.421 0.579 0.750
La5 La 0.500 0.000 0.000
La6 La 0.500 0.000 0.500
La7 La 0.579 0.421 0.250
La8 La 0.923 0.077 0.250
Tl1 Tl 0.110 0.890 0.250
Tl2 Tl 0.890 0.110 0.750
Sb1 Sb 0.389 0.611 0.250
Sb2 Sb 0.611 0.389 0.750
O1 O 0.250 0.750 0.750
O2 O 0.750 0.250 0.250
```

The 10 most intense peaks (2θ from 15° to 90°), in order of falling intensity:
two_theta  I_rel
33.15  100
27.77  80
36.75  68
48.80  41
30.98  36
63.91  30
25.76  25
31.65  23
62.62  19
60.83  18